[1]
Theoretical X-ray diffraction stick pattern
Compound: NdY2Ge4Pd4
Radiation: Cu Kα, 1.54184 Å
Structure: a structure optimized by DFT (GGA-PBE)

Structure:
```
data_NdY2Ge4Pd4
_chemical_formula_sum 'Nd2 Y4 Ge8 Pd8'
_space_group_name_H-M_alt 'I m m m'
_space_group_IT_number 71
_space_group_name_Hall '-I 2 2'
_cell_length_a 4.1970
_cell_length_b 7.1762
_cell_length_c 14.0747
_cell_angle_alpha 90.00
_cell_angle_beta 90.00
_cell_angle_gamma 90.00
loop_
_atom_site_label
_atom_site_type_symbol
_atom_site_fract_x
_atom_site_fract_y
_atom_site_fract_z
Nd1 Nd 0.0000 0.0000 0.0000
Y1 Y 0.0000 0.5000 0.1259
Ge1 Ge 0.0000 0.0000 0.2192
Ge2 Ge 0.0000 0.1853 0.5000
Pd1 Pd 0.0000 0.2989 0.3238
```

Peak list (10 most intense, 10° ≤ 2θ ≤ 90°, by angle)
(1 2 1), 2θ 33.5, I 100
(0 1 5), 2θ 34.2, I 27
(1 1 4), 2θ 35.6, I 75
(1 2 3), 2θ 38.2, I 22
(0 0 6), 2θ 38.4, I 23
(0 3 3), 2θ 42.4, I 37
(2 0 0), 2θ 43.1, I 44
(1 2 5), 2θ 46.4, I 32
(2 1 5), 2θ 56.1, I 17
(2 3 3), 2θ 62.1, I 23


[2]
Theoretical X-ray diffraction stick pattern
Compound: PrNd2Ge4Pt4
Radiation: Cu Kα, 1.54184 Å
Structure: a structure optimized by DFT (GGA-PBE)

Structure:
```
data_PrNd2Ge4Pt4
_chemical_formula_sum 'Pr2 Nd4 Ge8 Pt8'
_space_group_name_H-M_alt 'I m m m'
_space_group_IT_number 71
_space_group_name_Hall '-I 2 2'
_cell_length_a 4.1698
_cell_length_b 4.3575
_cell_length_c 25.3389
_cell_angle_alpha 90.00
_cell_angle_beta 90.00
_cell_angle_gamma 90.00
loop_
_atom_site_label
_atom_site_type_symbol
_atom_site_fract_x
_atom_site_fract_y
_atom_site_fract_z
Pr1 Pr 0.0000 0.0000 0.0000
Nd1 Nd 0.0000 0.5000 0.1468
Ge1 Ge 0.0000 0.0000 0.4502
Ge2 Ge 0.0000 0.5000 0.3062
Pt1 Pt 0.0000 0.0000 0.2488
Pt2 Pt 0.0000 0.5000 0.4036
```

Peak list (10 most intense, 10° ≤ 2θ ≤ 90°, by angle)
(1 0 7), 2θ 32.8, I 25
(1 1 4), 2θ 32.9, I 100
(0 1 9), 2θ 38.1, I 14
(0 2 0), 2θ 41.4, I 32
(2 0 0), 2θ 43.4, I 22
(0 1 11), 2θ 44.5, I 16
(1 1 10), 2θ 46.9, I 14
(1 2 7), 2θ 53.8, I 12
(2 2 0), 2θ 61.6, I 16
(3 1 4), 2θ 73.0, I 13


[3]
Theoretical X-ray diffraction stick pattern
Compound: PrNdZn6Ge3
Radiation: Cu Kα, 1.54184 Å
Structure: a structure optimized by DFT (GGA-PBE)

Structure:
```
data_PrNdZn6Ge3
_chemical_formula_sum 'Pr2 Nd2 Zn12 Ge6'
_space_group_name_H-M_alt 'P m m 2'
_space_group_IT_number 25
_cell_length_a 4.1117
_cell_length_b 13.2942
_cell_length_c 7.6738
_cell_angle_alpha 90.00
_cell_angle_beta 90.00
_cell_angle_gamma 90.00
loop_
_space_group_symop_operation_xyz
'x,y,z'
'-x,-y,z'
'-x,y,z'
'x,-y,z'
loop_
_atom_site_label
_atom_site_type_symbol
_atom_site_fract_x
_atom_site_fract_y
_atom_site_fract_z
Pr1 Pr 0.0000 0.1667 0.0000
Nd1 Nd 0.0000 0.3334 0.4999
Zn1 Zn 0.0000 0.0000 0.3111
Zn2 Zn 0.0000 0.0945 0.5942
Zn3 Zn 0.0000 0.4056 0.0946
Zn4 Zn 0.0000 0.5000 0.8109
Zn5 Zn 0.5000 0.0000 0.7893
Zn6 Zn 0.5000 0.1448 0.3553
Zn7 Zn 0.5000 0.3553 0.8550
Zn8 Zn 0.5000 0.5000 0.2896
Ge1 Ge 0.5000 0.0000 0.1189
Ge2 Ge 0.5000 0.1908 0.6901
Ge3 Ge 0.5000 0.3095 0.1910
Ge4 Ge 0.5000 0.5000 0.6185
```

Peak list (10 most intense, 10° ≤ 2θ ≤ 90°, by angle)
(1 3 1), 2θ 31.9, I 100
(1 4 0), 2θ 34.7, I 14
(0 5 1), 2θ 35.7, I 22
(0 6 0), 2θ 40.7, I 33
(1 5 1), 2θ 42.2, I 52
(2 0 0), 2θ 44.0, I 24
(0 7 1), 2θ 49.4, I 13
(1 6 2), 2θ 52.6, I 14
(2 6 0), 2θ 61.5, I 19
(1 9 1), 2θ 68.6, I 21


[4]
Theoretical X-ray diffraction stick pattern
Compound: PrNdZn2Ge2
Radiation: Cu Kα, 1.54184 Å
Structure: a structure optimized by DFT (GGA-PBE)

Structure:
```
data_PrNdZn2Ge2
_chemical_formula_sum 'Pr2 Nd2 Zn4 Ge4'
_space_group_name_H-M_alt 'P 63/m m c'
_space_group_IT_number 194
_space_group_name_Hall '-P 6c 2c'
_cell_length_a 4.3015
_cell_length_b 4.3015
_cell_length_c 16.5806
_cell_angle_alpha 90.00
_cell_angle_beta 90.00
_cell_angle_gamma 120.00
loop_
_atom_site_label
_atom_site_type_symbol
_atom_site_fract_x
_atom_site_fract_y
_atom_site_fract_z
Pr1 Pr 0.0000 0.0000 0.2500
Nd1 Nd 0.0000 0.0000 0.0000
Zn1 Zn 0.3333 0.6667 0.1412
Ge1 Ge 0.3333 0.6667 0.6160
```

Peak list (10 most intense, 10° ≤ 2θ ≤ 90°, by angle)
(1 0 0), 2θ 23.9, I 11
(1 0 4), 2θ 32.3, I 100
(1 1 0), 2θ 42.0, I 45
(0 0 8), 2θ 43.7, I 11
(1 0 8), 2θ 50.4, I 5
(2 0 4), 2θ 54.0, I 23
(1 1 8), 2θ 62.2, I 22
(2 1 4), 2θ 70.7, I 20
(1 0 12), 2θ 73.0, I 7
(3 0 0), 2θ 76.8, I 7


[5]
Theoretical X-ray diffraction stick pattern
Compound: PrNdZn6Ge3
Radiation: Cu Kα, 1.54184 Å
Structure: a structure optimized by DFT (GGA-PBE)

Structure:
```
data_PrNdZn6Ge3
_chemical_formula_sum 'Pr1 Nd1 Zn6 Ge3'
_space_group_name_H-M_alt 'P -6'
_space_group_IT_number 174
_cell_length_a 7.6796
_cell_length_b 7.6796
_cell_length_c 4.1151
_cell_angle_alpha 90.00
_cell_angle_beta 90.00
_cell_angle_gamma 120.00
loop_
_space_group_symop_operation_xyz
'x,y,z'
'-x+y,-x,-z'
'-y,x-y,z'
'x,y,-z'
'-x+y,-x,z'
'-y,x-y,-z'
loop_
_atom_site_label
_atom_site_type_symbol
_atom_site_fract_x
_atom_site_fract_y
_atom_site_fract_z
Pr1 Pr 0.0000 0.0000 0.0000
Nd1 Nd 0.6667 0.3333 0.0000
Zn1 Zn 0.0435 0.6666 0.5000
Zn2 Zn 0.1444 0.4779 0.0000
Ge1 Ge 0.3337 0.0480 0.5000
```

Peak list (10 most intense, 10° ≤ 2θ ≤ 90°, by angle)
(1 1 1), 2θ 31.9, I 100
(2 0 1), 2θ 34.7, I 14
(2 1 0), 2θ 35.7, I 21
(3 0 0), 2θ 40.7, I 33
(2 1 1), 2θ 42.1, I 52
(0 0 2), 2θ 44.0, I 24
(1 3 0), 2θ 49.4, I 13
(2 2 1), 2θ 52.6, I 14
(3 0 2), 2θ 61.5, I 19
(4 1 1), 2θ 68.6, I 21


[6]
Theoretical X-ray diffraction stick pattern
Compound: PrNdZn6Ge3
Radiation: Cu Kα, 1.54184 Å
Structure: a structure optimized by DFT (GGA-PBE)

Structure:
```
data_PrNdZn6Ge3
_chemical_formula_sum 'Pr2 Nd2 Zn12 Ge6'
_space_group_name_H-M_alt 'P m c 21'
_space_group_IT_number 26
_cell_length_a 4.1117
_cell_length_b 13.2938
_cell_length_c 7.6738
_cell_angle_alpha 90.00
_cell_angle_beta 90.00
_cell_angle_gamma 90.00
loop_
_space_group_symop_operation_xyz
'x,y,z'
'-x,-y,z+1/2'
'-x,y,z'
'x,-y,z+1/2'
loop_
_atom_site_label
_atom_site_type_symbol
_atom_site_fract_x
_atom_site_fract_y
_atom_site_fract_z
Pr1 Pr 0.0000 0.0834 0.0000
Nd1 Nd 0.0000 0.4167 0.0000
Zn1 Zn 0.0000 0.1556 0.4056
Zn2 Zn 0.0000 0.2501 0.6889
Zn3 Zn 0.0000 0.3445 0.4055
Zn4 Zn 0.5000 0.1053 0.6447
Zn5 Zn 0.5000 0.2501 0.2104
Zn6 Zn 0.5000 0.3948 0.6448
Ge1 Ge 0.5000 0.0595 0.3095
Ge2 Ge 0.5000 0.2503 0.8812
Ge3 Ge 0.5000 0.4407 0.3093
```

Peak list (10 most intense, 10° ≤ 2θ ≤ 90°, by angle)
(1 3 1), 2θ 31.9, I 100
(1 4 0), 2θ 34.7, I 14
(0 5 1), 2θ 35.7, I 22
(0 6 0), 2θ 40.7, I 33
(1 5 1), 2θ 42.2, I 52
(2 0 0), 2θ 44.0, I 24
(0 7 1), 2θ 49.4, I 13
(1 6 2), 2θ 52.6, I 14
(2 6 0), 2θ 61.5, I 19
(1 9 1), 2θ 68.6, I 21


[7]
Theoretical X-ray diffraction stick pattern
Compound: Nd3Si2Ge2Pt4
Radiation: Cu Kα, 1.54184 Å
Structure: a structure optimized by DFT (GGA-PBE)

Structure:
```
data_Nd3Si2Ge2Pt4
_chemical_formula_sum 'Nd6 Si4 Ge4 Pt8'
_space_group_name_H-M_alt 'I m m m'
_space_group_IT_number 71
_space_group_name_Hall '-I 2 2'
_cell_length_a 4.1611
_cell_length_b 4.3088
_cell_length_c 24.8884
_cell_angle_alpha 90.00
_cell_angle_beta 90.00
_cell_angle_gamma 90.00
loop_
_atom_site_label
_atom_site_type_symbol
_atom_site_fract_x
_atom_site_fract_y
_atom_site_fract_z
Nd1 Nd 0.0000 0.0000 0.0000
Nd2 Nd 0.0000 0.5000 0.1474
Si1 Si 0.0000 0.5000 0.3034
Ge1 Ge 0.0000 0.0000 0.4496
Pt1 Pt 0.0000 0.0000 0.2475
Pt2 Pt 0.0000 0.5000 0.3991
```

Peak list (10 most intense, 10° ≤ 2θ ≤ 90°, by angle)
(1 0 5), 2θ 27.9, I 12
(0 0 8), 2θ 28.7, I 9
(1 1 4), 2θ 33.2, I 100
(0 1 9), 2θ 38.7, I 15
(0 2 0), 2θ 41.9, I 20
(2 0 0), 2θ 43.5, I 16
(2 2 0), 2θ 62.0, I 11
(1 1 16), 2θ 67.9, I 9
(1 3 4), 2θ 71.1, I 10
(3 1 4), 2θ 73.3, I 10


[8]
Theoretical X-ray diffraction stick pattern
Compound: NdRe4SiGe
Radiation: Cu Kα, 1.54184 Å
Structure: a structure optimized by DFT (GGA-PBE)

Structure:
```
data_NdRe4SiGe
_chemical_formula_sum 'Nd2 Re8 Si2 Ge2'
_space_group_name_H-M_alt 'A m m 2'
_space_group_IT_number 38
_cell_length_a 4.1261
_cell_length_b 4.1710
_cell_length_c 14.2585
_cell_angle_alpha 90.00
_cell_angle_beta 90.00
_cell_angle_gamma 90.00
loop_
_space_group_symop_operation_xyz
'x,y,z'
'-x,-y,z'
'-x,y,z'
'x,-y,z'
'x,y+1/2,z+1/2'
'-x,-y+1/2,z+1/2'
'-x,y+1/2,z+1/2'
'x,-y+1/2,z+1/2'
loop_
_atom_site_label
_atom_site_type_symbol
_atom_site_fract_x
_atom_site_fract_y
_atom_site_fract_z
Nd1 Nd 0.0000 0.0000 0.0000
Re1 Re 0.0000 0.0000 0.3068
Re2 Re 0.0000 0.0000 0.7025
Re3 Re 0.5000 0.0000 0.1966
Re4 Re 0.5000 0.0000 0.8125
Si1 Si 0.5000 0.0000 0.4110
Ge1 Ge 0.5000 0.0000 0.5868
```

Peak list (10 most intense, 10° ≤ 2θ ≤ 90°, by angle)
(0 0 2), 2θ 12.4, I 71
(1 1 3), 2θ 36.0, I 100
(0 2 0), 2θ 43.4, I 24
(2 0 0), 2θ 43.9, I 25
(1 1 5), 2θ 44.3, I 43
(1 1 7), 2θ 54.9, I 15
(2 2 0), 2θ 63.4, I 17
(1 3 3), 2θ 74.8, I 12
(3 1 3), 2θ 75.5, I 12
(1 3 5), 2θ 80.3, I 8


[9]
Theoretical X-ray diffraction stick pattern
Compound: Nd2GeS4
Radiation: Cu Kα, 1.54184 Å
Structure: a structure optimized by DFT (GGA-PBE)

Structure:
```
data_Nd2GeS4
_chemical_formula_sum 'Nd4 Ge2 S8'
_space_group_name_H-M_alt 'P 1 21 1'
_space_group_IT_number 4
_cell_length_a 6.5032
_cell_length_b 6.8248
_cell_length_c 7.9997
_cell_angle_alpha 90.00
_cell_angle_beta 106.25
_cell_angle_gamma 90.00
loop_
_space_group_symop_operation_xyz
'x,y,z'
'-x,y+1/2,-z'
loop_
_atom_site_label
_atom_site_type_symbol
_atom_site_fract_x
_atom_site_fract_y
_atom_site_fract_z
Nd1 Nd 0.2377 0.0000 0.0578
Nd2 Nd 0.2488 0.9934 0.5616
Ge1 Ge 0.2779 0.5037 0.3155
S1 S 0.0000 0.2438 0.7544
S2 S 0.0143 0.2490 0.2603
S3 S 0.4638 0.3624 0.1039
S4 S 0.4681 0.3615 0.6415
```

Peak list (10 most intense, 10° ≤ 2θ ≤ 90°, by angle)
(1 1 0), 2θ 19.3, I 100
(0 2 0), 2θ 26.1, I 49
(0 1 2), 2θ 26.6, I 50
(1 1 -2), 2θ 27.0, I 54
(1 1 2), 2θ 33.3, I 58
(2 1 -2), 2θ 34.2, I 49
(0 2 2), 2θ 35.2, I 27
(1 2 -2), 2θ 35.5, I 26
(2 2 0), 2θ 39.1, I 74
(1 0 -4), 2θ 45.4, I 52


[10]
Theoretical X-ray diffraction stick pattern
Compound: NdScGe2
Radiation: Cu Kα, 1.54184 Å
Structure: a structure optimized by DFT (GGA-PBE)

Structure:
```
data_NdScGe2
_chemical_formula_sum 'Nd2 Sc2 Ge4'
_space_group_name_H-M_alt 'A m m 2'
_space_group_IT_number 38
_cell_length_a 3.2143
_cell_length_b 5.8099
_cell_length_c 11.2670
_cell_angle_alpha 90.00
_cell_angle_beta 90.00
_cell_angle_gamma 90.00
loop_
_space_group_symop_operation_xyz
'x,y,z'
'-x,-y,z'
'-x,y,z'
'x,-y,z'
'x,y+1/2,z+1/2'
'-x,-y+1/2,z+1/2'
'-x,y+1/2,z+1/2'
'x,-y+1/2,z+1/2'
loop_
_atom_site_label
_atom_site_type_symbol
_atom_site_fract_x
_atom_site_fract_y
_atom_site_fract_z
Nd1 Nd 0.0000 0.0000 0.0000
Sc1 Sc 0.0000 0.0000 0.2935
Ge1 Ge 0.0000 0.0000 0.5261
Ge2 Ge 0.0000 0.0000 0.7431
```

Peak list (10 most intense, 10° ≤ 2θ ≤ 90°, by angle)
(0 0 2), 2θ 15.7, I 33
(0 1 1), 2θ 17.2, I 25
(1 0 0), 2θ 27.8, I 100
(0 1 3), 2θ 28.3, I 24
(0 2 0), 2θ 30.8, I 76
(0 0 4), 2θ 31.8, I 57
(1 2 0), 2θ 41.9, I 65
(1 0 4), 2θ 42.7, I 50
(0 2 4), 2θ 44.8, I 44
(1 2 4), 2θ 53.5, I 51


[11]
Theoretical X-ray diffraction stick pattern
Compound: NdSi2Ge2
Radiation: Cu Kα, 1.54184 Å
Structure: a structure optimized by DFT (GGA-PBE)

Structure:
```
data_NdSi2Ge2
_chemical_formula_sum 'Nd2 Si4 Ge4'
_space_group_name_H-M_alt 'P 4/n m m'
_space_group_IT_number 129
_cell_length_a 4.5940
_cell_length_b 4.5940
_cell_length_c 9.6213
_cell_angle_alpha 90.00
_cell_angle_beta 90.00
_cell_angle_gamma 90.00
loop_
_space_group_symop_operation_xyz
'x,y,z'
'-x,-y,-z'
'-y+1/2,x,z'
'y+1/2,-x,-z'
'-x+1/2,-y+1/2,z'
'x+1/2,y+1/2,-z'
'y,-x+1/2,z'
'-y,x+1/2,-z'
'x+1/2,-y,-z'
'-x+1/2,y,z'
'-y,-x,-z'
'y,x,z'
'-x,y+1/2,-z'
'x,-y+1/2,z'
'y+1/2,x+1/2,-z'
'-y+1/2,-x+1/2,z'
loop_
_atom_site_label
_atom_site_type_symbol
_atom_site_fract_x
_atom_site_fract_y
_atom_site_fract_z
Nd1 Nd 0.2500 0.2500 0.2489
Si1 Si 0.2500 0.2500 0.6139
Si2 Si 0.2500 0.7500 0.0000
Ge1 Ge 0.2500 0.2500 0.8842
Ge2 Ge 0.2500 0.7500 0.5000
```

Peak list (10 most intense, 10° ≤ 2θ ≤ 90°, by angle)
(1 0 1), 2θ 21.4, I 30
(1 1 0), 2θ 27.5, I 31
(1 1 2), 2θ 33.3, I 100
(1 0 3), 2θ 34.1, I 89
(2 0 0), 2θ 39.2, I 71
(1 0 5), 2θ 51.5, I 19
(2 1 3), 2θ 52.9, I 50
(2 2 0), 2θ 56.7, I 24
(1 1 6), 2θ 64.9, I 24
(3 1 2), 2θ 67.3, I 25


[12]
Theoretical X-ray diffraction stick pattern
Compound: NdTmGe
Radiation: Cu Kα, 1.54184 Å
Structure: a structure optimized by DFT (GGA-PBE)

Structure:
```
data_NdTmGe
_chemical_formula_sum 'Nd4 Tm4 Ge4'
_space_group_name_H-M_alt 'F -4 3 m'
_space_group_IT_number 216
_space_group_name_Hall 'F -4 2 3'
_cell_length_a 6.9822
_cell_length_b 6.9822
_cell_length_c 6.9822
_cell_angle_alpha 90.00
_cell_angle_beta 90.00
_cell_angle_gamma 90.00
loop_
_atom_site_label
_atom_site_type_symbol
_atom_site_fract_x
_atom_site_fract_y
_atom_site_fract_z
Nd1 Nd 0.0000 0.0000 0.0000
Tm1 Tm 0.2500 0.2500 0.7500
Ge1 Ge 0.0000 0.0000 0.5000
```

Peak list (10 most intense, 10° ≤ 2θ ≤ 90°, by angle)
(1 1 1), 2θ 22.1, I 52
(2 2 0), 2θ 36.4, I 100
(3 1 1), 2θ 43.0, I 28
(4 0 0), 2θ 52.4, I 18
(3 3 1), 2θ 57.5, I 12
(4 2 2), 2θ 65.5, I 36
(5 1 1), 2θ 70.0, I 9
(4 4 0), 2θ 77.3, I 11
(5 3 1), 2θ 81.6, I 9
(6 2 0), 2θ 88.6, I 16